The following is a theoretical powder XRD pattern of Li3BiP2O8. It was derived from DFT lattice parameters and positions (GGA-PBE), using copper Kα.
Intensities are scaled so that the largest is 100.

The 10 most intense peaks (10° ≤ 2θ ≤ 90°), in order of falling intensity:
hkl 2 -1 1, 2θ = 23.8°, I 100; hkl 0 0 1, 2θ = 11.5°, I 62; hkl 2 -1 2, 2θ = 31.3°, I 51; hkl 1 1 0, 2θ = 20.8°, I 38; hkl 0 3 1, 2θ = 38.3°, I 30; hkl 3 0 0, 2θ = 36.4°, I 22; hkl 2 2 1, 2θ = 44.0°, I 20; hkl 2 2 2, 2θ = 48.8°, I 17; hkl 5 -1 1, 2θ = 58.4°, I 16; hkl 5 -4 2, 2θ = 62.4°, I 15

```
42
Lattice="8.5396 0.0000 0.0000 -4.2698 7.3956 0.0000 0.0000 0.0000 7.6811" Properties=species:S:1:pos:R:3 pbc="T T T"
Li 0.0000 0.0000 0.0000
Li -2.7286 4.9956 6.6472
Li 1.3078 2.5347 6.6472
Li 0.0000 4.9304 7.6800
Li 2.8490 0.1347 1.0339
Li 1.4208 7.2608 6.6472
Li 4.2698 2.4652 0.0011
Li 2.9620 4.8609 1.0339
Li 6.9985 2.3999 1.0339
Bi 0.0000 0.0000 3.8406
Bi 0.0000 4.9304 4.2352
Bi 4.2698 2.4652 3.4459
P -2.6986 5.1264 1.8895
P 1.1795 2.4953 1.8895
P 2.7508 0.2262 5.7916
P 1.5191 7.1694 1.8895
P 3.0903 4.9002 5.7916
P 6.9684 2.2691 5.7916
O -0.1887 1.5680 5.8771
O -1.3662 3.8283 5.8436
O -2.8175 6.7749 5.8771
O -2.0504 5.5791 3.2258
O -1.7986 5.5326 0.6932
O 1.2636 0.9474 1.8040
O 0.4634 2.8303 3.2258
O 0.3777 3.0716 0.6932
O 2.6828 1.0138 4.4553
O 2.8490 1.2087 6.9880
O -0.2713 6.6646 5.8436
O 1.6375 4.2982 5.8436
O 2.6323 3.0974 1.8376
O 4.5411 0.7310 1.8376
O 1.4209 6.1869 0.6932
O 1.5870 6.3817 3.2258
O 3.8921 4.3239 6.9880
O 3.8064 4.5653 4.4553
O 3.0062 6.4481 5.8771
O 6.0684 1.8629 6.9880
O 6.3202 1.8165 4.4553
O 7.0874 0.6206 1.8040
O 5.6361 3.5672 1.8376
O 4.4585 5.8275 1.8040
```